1.
The following is a calculated powder diffractogram of Pr2HoPd. It was derived from the PBE geometry in Alexandria, using Cu Kα, 1.54184 Å.
Neutral-atom scattering factors, no anomalous dispersion.

Structural model:
```
data_Pr2HoPd
_chemical_formula_sum 'Pr2 Ho1 Pd1'
_cell_length_a 3.733
_cell_length_b 3.733
_cell_length_c 8.395
_cell_angle_alpha 90.00
_cell_angle_beta 90.00
_cell_angle_gamma 90.00
_symmetry_space_group_name_H-M 'P 1'
_symmetry_Int_Tables_number 1
loop_
_symmetry_equiv_pos_as_xyz
'x,y,z'
loop_
_atom_site_label
_atom_site_fract_x
_atom_site_fract_y
_atom_site_fract_z
Pr1 0.000 0.000 0.207
Pr2 0.000 0.000 0.793
Ho1 0.500 0.500 0.500
Pd1 0.500 0.500 0.000
```

Largest 10 diffraction maxima, in order of rising 2θ, 10° ≤ 2θ ≤ 80°:
26.1 deg, 3.411 Å, I 11
32.1 deg, 2.790 Å, I 100
34.0 deg, 2.640 Å, I 50
43.1 deg, 2.099 Å, I 7
47.3 deg, 1.920 Å, I 9
48.8 deg, 1.867 Å, I 18
56.0 deg, 1.643 Å, I 13
59.6 deg, 1.552 Å, I 38
60.5 deg, 1.531 Å, I 7
67.1 deg, 1.395 Å, I 7

2.
The following is a calculated powder diffractogram of KNpTl2Br6. It was derived from the PBE geometry in Alexandria, using Cu Kα, 1.54184 Å.
Neutral-atom scattering factors, no anomalous dispersion.

Structural model:
```
data_KNpTl2Br6
_chemical_formula_sum 'K2 Np2 Tl4 Br12'
_cell_length_a 7.827
_cell_length_b 8.652
_cell_length_c 13.470
_cell_angle_alpha 90.00
_cell_angle_beta 122.31
_cell_angle_gamma 90.00
_symmetry_space_group_name_H-M 'P 1'
_symmetry_Int_Tables_number 1
loop_
_symmetry_equiv_pos_as_xyz
'x,y,z'
loop_
_atom_site_label
_atom_site_fract_x
_atom_site_fract_y
_atom_site_fract_z
K1 0.000 0.000 0.000
K2 0.000 0.500 0.500
Np1 0.500 0.000 0.500
Np2 0.500 0.500 0.000
Tl1 0.203 0.078 0.732
Tl2 0.203 0.422 0.232
Tl3 0.797 0.578 0.768
Tl4 0.797 0.922 0.268
Br1 0.146 0.173 0.450
Br2 0.146 0.327 0.950
Br3 0.259 0.720 0.421
Br4 0.259 0.780 0.921
Br5 0.404 0.067 0.265
Br6 0.404 0.433 0.765
Br7 0.596 0.567 0.235
Br8 0.596 0.933 0.735
Br9 0.741 0.220 0.079
Br10 0.741 0.280 0.579
Br11 0.854 0.673 0.050
Br12 0.854 0.827 0.550
```

Largest 10 diffraction maxima, in order of rising 2θ, 10° ≤ 2θ ≤ 80°:
12.9 deg, 6.888 Å, I 100
21.4 deg, 4.148 Å, I 87
22.3 deg, 3.982 Å, I 87
25.8 deg, 3.448 Å, I 68
28.6 deg, 3.117 Å, I 44
30.8 deg, 2.900 Å, I 58
31.4 deg, 2.848 Å, I 65
33.9 deg, 2.644 Å, I 45
38.6 deg, 2.330 Å, I 51
40.2 deg, 2.242 Å, I 66

3.
The following is a calculated powder diffractogram of Ho2NpSe4. It was derived from the PBE geometry in Alexandria, using Cu Kα, 1.54184 Å.
Neutral-atom scattering factors, no anomalous dispersion.

Structural model:
```
data_Ho2NpSe4
_chemical_formula_sum 'Ho4 Np2 Se8'
_cell_length_a 6.987
_cell_length_b 6.987
_cell_length_c 13.701
_cell_angle_alpha 90.00
_cell_angle_beta 90.00
_cell_angle_gamma 146.61
_symmetry_space_group_name_H-M 'P 1'
_symmetry_Int_Tables_number 1
loop_
_symmetry_equiv_pos_as_xyz
'x,y,z'
loop_
_atom_site_label
_atom_site_fract_x
_atom_site_fract_y
_atom_site_fract_z
Ho1 0.133 0.867 0.567
Ho2 0.133 0.867 0.933
Ho3 0.867 0.133 0.067
Ho4 0.867 0.133 0.433
Np1 0.380 0.620 0.750
Np2 0.620 0.380 0.250
Se1 0.039 0.961 0.750
Se2 0.227 0.773 0.123
Se3 0.227 0.773 0.377
Se4 0.500 0.500 0.000
Se5 0.500 0.500 0.500
Se6 0.773 0.227 0.623
Se7 0.773 0.227 0.877
Se8 0.961 0.039 0.250
```

Largest 10 diffraction maxima, in order of rising 2θ, 10° ≤ 2θ ≤ 80°:
23.6 deg, 3.772 Å, I 100
26.6 deg, 3.350 Å, I 31
29.3 deg, 3.049 Å, I 28
30.7 deg, 2.916 Å, I 82
32.7 deg, 2.736 Å, I 86
40.4 deg, 2.232 Å, I 55
42.7 deg, 2.118 Å, I 35
45.2 deg, 2.006 Å, I 72
51.6 deg, 1.772 Å, I 25
65.8 deg, 1.418 Å, I 26

4.
The following is a calculated powder diffractogram of ErScNi2. It was derived from the PBE geometry in Alexandria, using Cu Kα, 1.54184 Å.
Neutral-atom scattering factors, no anomalous dispersion.

Structural model:
```
data_ErScNi2
_chemical_formula_sum 'Er2 Sc2 Ni4'
_cell_length_a 4.096
_cell_length_b 3.590
_cell_length_c 9.842
_cell_angle_alpha 90.00
_cell_angle_beta 90.00
_cell_angle_gamma 90.00
_symmetry_space_group_name_H-M 'P 1'
_symmetry_Int_Tables_number 1
loop_
_symmetry_equiv_pos_as_xyz
'x,y,z'
loop_
_atom_site_label
_atom_site_fract_x
_atom_site_fract_y
_atom_site_fract_z
Er1 0.000 0.000 0.000
Er2 0.000 0.500 0.500
Sc1 0.500 0.000 0.719
Sc2 0.500 0.500 0.219
Ni1 0.000 0.000 0.280
Ni2 0.000 0.500 0.780
Ni3 0.500 0.000 0.427
Ni4 0.500 0.500 0.927
```

Largest 10 diffraction maxima, in order of rising 2θ, 10° ≤ 2θ ≤ 80°:
18.0 deg, 4.921 Å, I 31
21.7 deg, 4.096 Å, I 21
26.4 deg, 3.373 Å, I 17
34.4 deg, 2.604 Å, I 100
36.5 deg, 2.460 Å, I 21
37.1 deg, 2.422 Å, I 35
42.9 deg, 2.109 Å, I 29
43.4 deg, 2.085 Å, I 57
44.2 deg, 2.048 Å, I 26
59.1 deg, 1.564 Å, I 18

5.
The following is a calculated powder diffractogram of Cs2Tl15Pb2. It was derived from the PBE geometry in Alexandria, using Cu Kα, 1.54184 Å.
Neutral-atom scattering factors, no anomalous dispersion.

Structural model:
```
data_Cs2Tl15Pb2
_chemical_formula_sum 'Cs2 Tl15 Pb2'
_cell_length_a 8.785
_cell_length_b 8.785
_cell_length_c 8.785
_cell_angle_alpha 82.78
_cell_angle_beta 82.78
_cell_angle_gamma 82.78
_symmetry_space_group_name_H-M 'P 1'
_symmetry_Int_Tables_number 1
loop_
_symmetry_equiv_pos_as_xyz
'x,y,z'
loop_
_atom_site_label
_atom_site_fract_x
_atom_site_fract_y
_atom_site_fract_z
Cs1 0.159 0.159 0.159
Cs2 0.841 0.841 0.841
Tl1 0.000 0.500 0.500
Tl2 0.151 0.151 0.651
Tl3 0.151 0.651 0.151
Tl4 0.210 0.500 0.790
Tl5 0.210 0.790 0.500
Tl6 0.349 0.849 0.849
Tl7 0.500 0.000 0.500
Tl8 0.500 0.210 0.790
Tl9 0.500 0.500 0.000
Tl10 0.500 0.790 0.210
Tl11 0.651 0.151 0.151
Tl12 0.790 0.210 0.500
Tl13 0.790 0.500 0.210
Tl14 0.849 0.349 0.849
Tl15 0.849 0.849 0.349
Pb1 0.404 0.404 0.404
Pb2 0.596 0.596 0.596
```

Largest 10 diffraction maxima, in order of rising 2θ, 10° ≤ 2θ ≤ 80°:
10.2 deg, 8.661 Å, I 25
27.5 deg, 3.249 Å, I 28
30.8 deg, 2.904 Å, I 63
31.0 deg, 2.887 Å, I 89
31.5 deg, 2.837 Å, I 44
31.7 deg, 2.819 Å, I 27
34.7 deg, 2.585 Å, I 100
35.2 deg, 2.549 Å, I 32
54.7 deg, 1.677 Å, I 27
55.8 deg, 1.647 Å, I 29

6.
The following is a calculated powder diffractogram of Ac8Rh4S. It was derived from the PBE geometry in Alexandria, using Cu Kα, 1.54184 Å.
Neutral-atom scattering factors, no anomalous dispersion.

Structural model:
```
data_Ac8Rh4S
_chemical_formula_sum 'Ac8 Rh4 S1'
_cell_length_a 10.956
_cell_length_b 10.956
_cell_length_c 14.554
_cell_angle_alpha 131.19
_cell_angle_beta 131.19
_cell_angle_gamma 22.86
_symmetry_space_group_name_H-M 'P 1'
_symmetry_Int_Tables_number 1
loop_
_symmetry_equiv_pos_as_xyz
'x,y,z'
loop_
_atom_site_label
_atom_site_fract_x
_atom_site_fract_y
_atom_site_fract_z
Ac1 0.000 0.000 0.000
Ac2 0.018 0.018 0.739
Ac3 0.302 0.302 0.937
Ac4 0.323 0.323 0.672
Ac5 0.369 0.369 0.414
Ac6 0.624 0.624 0.620
Ac7 0.703 0.703 0.062
Ac8 0.954 0.954 0.272
Rh1 0.004 0.004 0.516
Rh2 0.326 0.326 0.163
Rh3 0.516 0.516 0.879
Rh4 0.811 0.811 0.810
S1 0.825 0.825 0.523
```

Largest 10 diffraction maxima, in order of rising 2θ, 10° ≤ 2θ ≤ 80°:
11.1 deg, 7.954 Å, I 34
25.0 deg, 3.566 Å, I 38
26.5 deg, 3.360 Å, I 95
26.9 deg, 3.318 Å, I 32
27.6 deg, 3.236 Å, I 100
28.7 deg, 3.112 Å, I 40
31.1 deg, 2.872 Å, I 32
32.6 deg, 2.747 Å, I 31
41.6 deg, 2.171 Å, I 34
43.0 deg, 2.103 Å, I 59

7.
The following is a calculated powder diffractogram of LaNdPd4. It was derived from the PBE geometry in Alexandria, using Cu Kα, 1.54184 Å.
Neutral-atom scattering factors, no anomalous dispersion.

Structural model:
```
data_LaNdPd4
_chemical_formula_sum 'La2 Nd2 Pd8'
_cell_length_a 10.222
_cell_length_b 10.222
_cell_length_c 5.936
_cell_angle_alpha 90.00
_cell_angle_beta 90.00
_cell_angle_gamma 155.69
_symmetry_space_group_name_H-M 'P 1'
_symmetry_Int_Tables_number 1
loop_
_symmetry_equiv_pos_as_xyz
'x,y,z'
loop_
_atom_site_label
_atom_site_fract_x
_atom_site_fract_y
_atom_site_fract_z
La1 0.078 0.922 0.750
La2 0.922 0.078 0.250
Nd1 0.224 0.776 0.250
Nd2 0.776 0.224 0.750
Pd1 0.073 0.927 0.250
Pd2 0.354 0.646 0.516
Pd3 0.354 0.646 0.984
Pd4 0.500 0.500 0.000
Pd5 0.500 0.500 0.500
Pd6 0.646 0.354 0.016
Pd7 0.646 0.354 0.484
Pd8 0.927 0.073 0.750
```

Largest 10 diffraction maxima, in order of rising 2θ, 10° ≤ 2θ ≤ 80°:
28.9 deg, 3.088 Å, I 23
37.1 deg, 2.425 Å, I 100
37.8 deg, 2.379 Å, I 99
40.7 deg, 2.216 Å, I 55
42.0 deg, 2.153 Å, I 39
47.6 deg, 1.911 Å, I 14
59.9 deg, 1.544 Å, I 35
65.3 deg, 1.429 Å, I 19
72.7 deg, 1.301 Å, I 24
75.5 deg, 1.259 Å, I 25

8.
The following is a calculated powder diffractogram of Tb5Ce2Er4. It was derived from the PBE geometry in Alexandria, using Cu Kα, 1.54184 Å.
Neutral-atom scattering factors, no anomalous dispersion.

Structural model:
```
data_Tb5Ce2Er4
_chemical_formula_sum 'Tb5 Ce2 Er4'
_cell_length_a 3.484
_cell_length_b 8.685
_cell_length_c 11.620
_cell_angle_alpha 96.88
_cell_angle_beta 98.54
_cell_angle_gamma 90.05
_symmetry_space_group_name_H-M 'P 1'
_symmetry_Int_Tables_number 1
loop_
_symmetry_equiv_pos_as_xyz
'x,y,z'
loop_
_atom_site_label
_atom_site_fract_x
_atom_site_fract_y
_atom_site_fract_z
Tb1 0.000 0.000 0.000
Tb2 0.264 0.180 0.527
Tb3 0.465 0.651 0.925
Tb4 0.535 0.349 0.075
Tb5 0.736 0.820 0.473
Ce1 0.313 0.562 0.626
Ce2 0.687 0.438 0.374
Er1 0.100 0.700 0.198
Er2 0.367 0.945 0.738
Er3 0.633 0.055 0.262
Er4 0.900 0.300 0.802
```

Largest 10 diffraction maxima, in order of rising 2θ, 10° ≤ 2θ ≤ 80°:
30.6 deg, 2.925 Å, I 93
31.2 deg, 2.871 Å, I 93
31.8 deg, 2.811 Å, I 84
33.2 deg, 2.695 Å, I 100
33.6 deg, 2.667 Å, I 23
36.0 deg, 2.493 Å, I 23
37.3 deg, 2.412 Å, I 52
52.5 deg, 1.742 Å, I 33
62.4 deg, 1.489 Å, I 26
63.6 deg, 1.463 Å, I 24

9.
The following is a calculated powder diffractogram of CsAlTe3Pb. It was derived from the PBE geometry in Alexandria, using Cu Kα, 1.54184 Å.
Neutral-atom scattering factors, no anomalous dispersion.

Structural model:
```
data_CsAlTe3Pb
_chemical_formula_sum 'Cs2 Al2 Te6 Pb2'
_cell_length_a 9.691
_cell_length_b 9.691
_cell_length_c 9.814
_cell_angle_alpha 105.58
_cell_angle_beta 105.58
_cell_angle_gamma 34.11
_symmetry_space_group_name_H-M 'P 1'
_symmetry_Int_Tables_number 1
loop_
_symmetry_equiv_pos_as_xyz
'x,y,z'
loop_
_atom_site_label
_atom_site_fract_x
_atom_site_fract_y
_atom_site_fract_z
Cs1 0.151 0.151 0.078
Cs2 0.849 0.849 0.922
Al1 0.488 0.488 0.708
Al2 0.512 0.512 0.292
Te1 0.002 0.002 0.293
Te2 0.343 0.343 0.642
Te3 0.366 0.366 0.227
Te4 0.634 0.634 0.773
Te5 0.657 0.657 0.358
Te6 0.998 0.998 0.707
Pb1 0.137 0.137 0.573
Pb2 0.863 0.863 0.427
```

Largest 10 diffraction maxima, in order of rising 2θ, 10° ≤ 2θ ≤ 80°:
16.4 deg, 5.414 Å, I 25
20.0 deg, 4.446 Å, I 43
24.0 deg, 3.714 Å, I 100
30.2 deg, 2.964 Å, I 31
31.2 deg, 2.868 Å, I 79
31.5 deg, 2.842 Å, I 60
31.6 deg, 2.833 Å, I 65
36.6 deg, 2.453 Å, I 23
44.1 deg, 2.051 Å, I 22
57.1 deg, 1.612 Å, I 22

10.
The following is a calculated powder diffractogram of ErAlGa6. It was derived from the PBE geometry in Alexandria, using Cu Kα, 1.54184 Å.
Neutral-atom scattering factors, no anomalous dispersion.

Structural model:
```
data_ErAlGa6
_chemical_formula_sum 'Er1 Al1 Ga6'
_cell_length_a 6.171
_cell_length_b 6.171
_cell_length_c 3.939
_cell_angle_alpha 90.00
_cell_angle_beta 90.00
_cell_angle_gamma 90.00
_symmetry_space_group_name_H-M 'P 1'
_symmetry_Int_Tables_number 1
loop_
_symmetry_equiv_pos_as_xyz
'x,y,z'
loop_
_atom_site_label
_atom_site_fract_x
_atom_site_fract_y
_atom_site_fract_z
Er1 0.000 0.000 0.000
Al1 0.500 0.500 0.000
Ga1 0.000 0.500 0.000
Ga2 0.267 0.267 0.500
Ga3 0.267 0.733 0.500
Ga4 0.500 0.000 0.000
Ga5 0.733 0.267 0.500
Ga6 0.733 0.733 0.500
```

Largest 10 diffraction maxima, in order of rising 2θ, 10° ≤ 2θ ≤ 80°:
14.4 deg, 6.171 Å, I 14
26.9 deg, 3.320 Å, I 17
32.4 deg, 2.760 Å, I 10
37.0 deg, 2.429 Å, I 100
41.4 deg, 2.182 Å, I 36
46.1 deg, 1.970 Å, I 14
60.0 deg, 1.543 Å, I 11
63.6 deg, 1.462 Å, I 19
72.6 deg, 1.302 Å, I 25
79.3 deg, 1.208 Å, I 10

11.
The following is a calculated powder diffractogram of K3Cd4. It was derived from the PBE geometry in Alexandria, using Cu Kα, 1.54184 Å.
Neutral-atom scattering factors, no anomalous dispersion.

Structural model:
```
data_K3Cd4
_chemical_formula_sum 'K6 Cd8'
_cell_length_a 5.078
_cell_length_b 15.824
_cell_length_c 6.971
_cell_angle_alpha 90.00
_cell_angle_beta 111.06
_cell_angle_gamma 90.00
_symmetry_space_group_name_H-M 'P 1'
_symmetry_Int_Tables_number 1
loop_
_symmetry_equiv_pos_as_xyz
'x,y,z'
loop_
_atom_site_label
_atom_site_fract_x
_atom_site_fract_y
_atom_site_fract_z
K1 0.030 0.250 0.058
K2 0.268 0.602 0.542
K3 0.268 0.898 0.542
K4 0.732 0.102 0.458
K5 0.732 0.398 0.458
K6 0.970 0.750 0.942
Cd1 0.000 0.000 0.000
Cd2 0.000 0.500 0.000
Cd3 0.332 0.250 0.658
Cd4 0.442 0.087 0.883
Cd5 0.442 0.413 0.883
Cd6 0.558 0.587 0.117
Cd7 0.558 0.913 0.117
Cd8 0.668 0.750 0.342
```

Largest 10 diffraction maxima, in order of rising 2θ, 10° ≤ 2θ ≤ 80°:
13.6 deg, 6.505 Å, I 63
14.7 deg, 6.017 Å, I 72
17.7 deg, 5.025 Å, I 82
19.6 deg, 4.532 Å, I 35
29.4 deg, 3.035 Å, I 72
31.9 deg, 2.802 Å, I 35
32.1 deg, 2.791 Å, I 36
32.3 deg, 2.769 Å, I 79
35.4 deg, 2.538 Å, I 100
39.1 deg, 2.304 Å, I 72